For ZrPd5Pb, a GGA-PBE-relaxed structure gives the calculated powder X-ray diffraction pattern in this record (CuKα).
Intensities are scaled so that the largest is 100.

The 8 most intense peaks (2θ from 5° to 70°), low angle first:
hkl 0 0 1, 5.780 Å, 15.33°, I = 16
hkl 1 0 1, 3.688 Å, 24.13°, I = 20
hkl 1 1 1, 2.922 Å, 30.60°, I = 18
hkl 2 0 0, 2.395 Å, 37.56°, I = 65
hkl 1 1 2, 2.198 Å, 41.06°, I = 100
hkl 2 1 1, 2.008 Å, 45.15°, I = 8
hkl 2 2 0, 1.693 Å, 54.17°, I = 22
hkl 0 0 4, 1.445 Å, 64.48°, I = 6

Structural model:
Unit cell a=4.789 b=4.789 c=5.780 alpha=90.00 beta=90.00 gamma=90.00
Sites, in units of the cell vectors:
Zr 0.000 0.000 0.000
Pd 0.000 0.000 0.500
Pd 0.000 0.500 0.243
Pd 0.000 0.500 0.757
Pd 0.500 0.000 0.243
Pd 0.500 0.000 0.757
Pb 0.500 0.500 0.500

---

For Li2Cu5Si2Ag, a GGA-PBE-relaxed structure gives the calculated powder X-ray diffraction pattern in this record (CuKα).
Intensities are scaled so that the largest is 100.

The 8 most intense peaks (2θ from 5° to 70°), low angle first:
hkl 2 0 0, 4.246 Å, 20.92°, I = 44
hkl 2 1 0, 3.797 Å, 23.43°, I = 30
hkl 2 2 1, 2.364 Å, 38.07°, I = 35
hkl 3 1 1, 2.199 Å, 41.04°, I = 100
hkl 4 1 0, 2.059 Å, 43.97°, I = 20
hkl 3 2 1, 2.007 Å, 45.18°, I = 32
hkl 0 0 2, 1.917 Å, 47.42°, I = 28
hkl 4 2 0, 1.899 Å, 47.91°, I = 22

Structural model:
Unit cell a=8.491 b=8.491 c=3.834 alpha=90.00 beta=90.00 gamma=90.00
Sites, in units of the cell vectors:
Li 0.181 0.319 0.000
Li 0.319 0.819 0.000
Li 0.681 0.181 0.000
Li 0.819 0.681 0.000
Cu 0.000 0.500 0.500
Cu 0.066 0.790 0.500
Cu 0.210 0.066 0.500
Cu 0.290 0.566 0.500
Cu 0.434 0.290 0.500
Cu 0.500 0.000 0.500
Cu 0.566 0.710 0.500
Cu 0.710 0.434 0.500
Cu 0.790 0.934 0.500
Cu 0.934 0.210 0.500
Si 0.114 0.614 0.000
Si 0.386 0.114 0.000
Si 0.614 0.886 0.000
Si 0.886 0.386 0.000
Ag 0.000 0.000 0.000
Ag 0.500 0.500 0.000